Starting from a crystal structure in the Materials Project, relaxed with GGA-PBE, the powder XRD pattern of SiO2 was simulated for Cu Kα (λ = 1.5418 Å).

Cell and atoms:
```
data_SiO2
_cell_length_a 6.601
_cell_length_b 6.601
_cell_length_c 8.138
_cell_angle_alpha 90.00
_cell_angle_beta 90.00
_cell_angle_gamma 90.00
_space_group_name_H-M_alt 'P -4 c 2'
_space_group_IT_number 116
loop_
_space_group_symop_operation_xyz
'x,y,z'
'y,-x,-z'
'-x,-y,z'
'-y,x,-z'
'-x,y,z+1/2'
'-y,-x,-z+1/2'
'x,-y,z+1/2'
'y,x,-z+1/2'
loop_
_atom_site_label
_atom_site_fract_x
_atom_site_fract_y
_atom_site_fract_z
Si1 0.039 0.260 0.404
O1 0.000 0.500 0.387
O2 0.166 0.191 0.570
O3 0.175 0.175 0.250
```

Main lines, in order of rising 2θ (2θ from 5° to 70°):
| (hkl) | 2θ/deg | Rel. int. |
| --- | --- | --- |
| 1 0 0 | 13.41 | 100.0 |
| 1 0 2 | 25.72 | 31.8 |
| 2 1 0 | 30.28 | 19.1 |
| 2 0 2 | 35.00 | 15.0 |
| 3 1 1 | 44.82 | 5.6 |
| 4 1 3 | 67.99 | 5.8 |

---

Starting from a crystal structure in the Materials Project, relaxed with GGA-PBE, the powder XRD pattern of CaU2P2O18 was simulated for Cu Kα (λ = 1.5418 Å).

Cell and atoms:
```
data_CaU2P2O18
_cell_length_a 6.975
_cell_length_b 6.942
_cell_length_c 9.161
_cell_angle_alpha 90.00
_cell_angle_beta 90.53
_cell_angle_gamma 90.00
_space_group_name_H-M_alt 'P 1 m 1'
_space_group_IT_number 6
loop_
_space_group_symop_operation_xyz
'x,y,z'
'x,-y,z'
loop_
_atom_site_label
_atom_site_fract_x
_atom_site_fract_y
_atom_site_fract_z
Ca1 0.000 0.000 0.000
U1 0.053 0.000 0.448
U2 0.553 0.500 0.256
P1 0.053 0.500 0.349
P2 0.554 0.000 0.357
O1 0.046 0.000 0.240
O2 0.054 0.315 0.449
O3 0.080 0.169 0.794
O4 0.122 0.000 0.717
O5 0.224 0.500 0.965
O6 0.230 0.500 0.252
O7 0.367 0.000 0.451
O8 0.542 0.106 0.924
O9 0.553 0.500 0.454
O10 0.555 0.500 0.056
O11 0.557 0.177 0.257
O12 0.692 0.000 0.847
O13 0.737 0.000 0.459
O14 0.877 0.500 0.250
```

Main lines, in order of rising 2θ (2θ from 5° to 70°):
| (hkl) | 2θ/deg | Rel. int. |
| --- | --- | --- |
| 0 0 1 | 9.65 | 100.0 |
| 0 1 1 | 16.03 | 37.6 |
| 1 1 0 | 18.03 | 41.3 |
| 0 1 2 | 23.28 | 37.5 |
| 2 0 0 | 25.54 | 27.4 |
| 0 2 0 | 25.66 | 25.8 |

---

Starting from a crystal structure in the Materials Project, relaxed with GGA-PBE, the powder XRD pattern of BSbO3 was simulated for Cu Kα (λ = 1.5418 Å).

Cell and atoms:
```
data_BSbO3
_cell_length_a 4.846
_cell_length_b 6.047
_cell_length_c 6.221
_cell_angle_alpha 80.97
_cell_angle_beta 68.56
_cell_angle_gamma 66.61
_space_group_name_H-M_alt 'P -1'
_space_group_IT_number 2
loop_
_space_group_symop_operation_xyz
'x,y,z'
'-x,-y,-z'
loop_
_atom_site_label
_atom_site_fract_x
_atom_site_fract_y
_atom_site_fract_z
B1 0.229 0.064 0.292
Sb1 0.049 0.255 0.766
O1 0.020 0.925 0.779
O2 0.183 0.251 0.418
O3 0.497 0.141 0.768
```

Main lines, in order of rising 2θ (2θ from 5° to 70°):
| (hkl) | 2θ/deg | Rel. int. |
| --- | --- | --- |
| 1 0 0 | 21.20 | 100.0 |
| 1 1 1 | 21.59 | 59.3 |
| 0 1 1 | 22.03 | 78.7 |
| 0 1 -1 | 22.34 | 72.1 |
| 0 0 2 | 30.89 | 57.1 |
| 1 2 0 | 31.43 | 42.1 |

---

Starting from a crystal structure in the Materials Project, relaxed with GGA-PBE, the powder XRD pattern of Mn3Re was simulated for Cu Kα (λ = 1.5418 Å).

Cell and atoms:
```
data_Mn3Re
_cell_length_a 5.822
_cell_length_b 5.822
_cell_length_c 5.822
_cell_angle_alpha 90.00
_cell_angle_beta 90.00
_cell_angle_gamma 90.00
_space_group_name_H-M_alt 'F m -3 m'
_space_group_IT_number 225
_space_group_name_Hall '-F 4 2 3'
loop_
_atom_site_label
_atom_site_fract_x
_atom_site_fract_y
_atom_site_fract_z
Mn1 0.000 0.000 0.000
Mn2 0.250 0.250 0.250
Re1 0.000 0.000 0.500
```

Main lines, in order of rising 2θ (2θ from 5° to 70°):
| (hkl) | 2θ/deg | Rel. int. |
| --- | --- | --- |
| 1 1 1 | 26.52 | 33.5 |
| 2 0 0 | 30.71 | 17.5 |
| 2 2 0 | 43.99 | 100.0 |
| 3 1 1 | 52.10 | 17.2 |
| 2 2 2 | 54.61 | 5.0 |
| 4 0 0 | 63.97 | 15.7 |

---

Starting from a crystal structure in the Materials Project, relaxed with GGA-PBE, the powder XRD pattern of Rb3HSe2O8 was simulated for Cu Kα (λ = 1.5418 Å).

Cell and atoms:
```
data_Rb3HSe2O8
_cell_length_a 15.864
_cell_length_b 6.220
_cell_length_c 10.735
_cell_angle_alpha 90.00
_cell_angle_beta 102.54
_cell_angle_gamma 90.00
_space_group_name_H-M_alt 'C 1 c 1'
_space_group_IT_number 9
loop_
_space_group_symop_operation_xyz
'x,y,z'
'x,-y,z+1/2'
'x+1/2,y+1/2,z'
'x+1/2,-y+1/2,z+1/2'
loop_
_atom_site_label
_atom_site_fract_x
_atom_site_fract_y
_atom_site_fract_z
Rb1 0.000 0.233 0.000
Rb2 0.112 0.267 0.696
Rb3 0.304 0.245 0.098
H1 0.306 0.024 0.840
Se1 0.190 0.225 0.385
Se2 0.423 0.225 0.812
O1 0.148 0.017 0.448
O2 0.150 0.243 0.228
O3 0.177 0.454 0.459
O4 0.298 0.171 0.403
O5 0.311 0.176 0.790
O6 0.431 0.453 0.737
O7 0.459 0.241 0.969
O8 0.462 0.014 0.748
```

Main lines, in order of rising 2θ (2θ from 5° to 70°):
| (hkl) | 2θ/deg | Rel. int. |
| --- | --- | --- |
| 3 1 1 | 25.27 | 85.8 |
| 4 0 -2 | 25.47 | 44.2 |
| 1 1 -3 | 28.76 | 100.0 |
| 4 2 -2 | 38.75 | 33.0 |
| 7 1 -1 | 42.45 | 18.7 |
| 2 2 4 | 48.81 | 22.2 |